1.
Starting from a PBE+U-relaxed structure, the powder diffractogram of Mn3O4F2 was computed for λ = 1.5418 Å (Cu Kα).
Kinematic intensities with the Lorentz-polarization factor, no thermal factor.

```
data_Mn3O4F2
_chemical_formula_sum 'Mn6 O8 F4'
_space_group_name_H-M_alt 'P n n m'
_space_group_IT_number 58
_cell_length_a 4.664
_cell_length_b 14.066
_cell_length_c 3.042
_cell_angle_alpha 90.00
_cell_angle_beta 90.00
_cell_angle_gamma 90.00
loop_
_space_group_symop_operation_xyz
'x,y,z'
'-x,-y,-z'
'-x,-y,z'
'x,y,-z'
'x+1/2,-y+1/2,-z+1/2'
'-x+1/2,y+1/2,z+1/2'
'-x+1/2,y+1/2,-z+1/2'
'x+1/2,-y+1/2,z+1/2'
loop_
_atom_site_label
_atom_site_type_symbol
_atom_site_fract_x
_atom_site_fract_y
_atom_site_fract_z
Mn1 Mn 0.000 0.000 0.000
Mn2 Mn 0.083 0.326 0.000
O1 O 0.180 0.936 0.500
O2 O 0.227 0.769 0.000
F1 F 0.144 0.611 0.500
```

Principal peaks in the range 10 to 80 degrees two-theta, in order of rising 2θ:
hkl	2θ/deg	intensity
1 2 0	22.88	11
1 3 0	26.97	100
0 3 1	35.19	50
1 3 1	40.28	13
2 2 1	51.03	11
1 6 1	53.08	27
2 3 1	53.21	17
0 0 2	60.88	15
0 9 1	67.36	12
1 3 2	67.81	12


2.
Starting from a PBE+U-relaxed structure, the powder diffractogram of Mn6O7F5 was computed for λ = 1.5418 Å (Cu Kα).
Kinematic intensities with the Lorentz-polarization factor, no thermal factor.

```
data_Mn6O7F5
_chemical_formula_sum 'Mn6 O7 F5'
_space_group_name_H-M_alt 'P 1'
_space_group_IT_number 1
_cell_length_a 4.692
_cell_length_b 5.690
_cell_length_c 7.691
_cell_angle_alpha 85.31
_cell_angle_beta 87.54
_cell_angle_gamma 85.56
loop_
_space_group_symop_operation_xyz
'x,y,z'
loop_
_atom_site_label
_atom_site_type_symbol
_atom_site_fract_x
_atom_site_fract_y
_atom_site_fract_z
Mn1 Mn 0.000 0.000 0.000
Mn2 Mn 0.001 0.646 0.309
Mn3 Mn 0.038 0.324 0.675
Mn4 Mn 0.520 0.154 0.331
Mn5 Mn 0.522 0.481 0.994
Mn6 Mn 0.528 0.819 0.646
O1 O 0.205 0.265 0.896
O2 O 0.319 0.108 0.559
O3 O 0.335 0.457 0.225
O4 O 0.706 0.521 0.761
O5 O 0.725 0.862 0.422
O6 O 0.726 0.198 0.106
O7 O 0.832 0.712 0.088
F1 F 0.208 0.623 0.539
F2 F 0.224 0.962 0.203
F3 F 0.303 0.785 0.879
F4 F 0.804 0.015 0.784
F5 F 0.833 0.349 0.449
```

Principal peaks in the range 10 to 80 degrees two-theta, in order of rising 2θ:
hkl	2θ/deg	intensity
1 1 1	25.63	100
-1 1 1	27.95	84
0 2 -1	34.67	26
1 1 -2	34.86	27
1 -1 2	35.18	38
1 3 0	50.87	16
2 2 -1	51.19	16
2 2 2	52.66	16
2 0 -3	54.17	24
0 4 1	66.27	16


3.
Starting from a PBE+U-relaxed structure, the powder diffractogram of Mn3O5F was computed for λ = 1.5418 Å (Cu Kα).
Kinematic intensities with the Lorentz-polarization factor, no thermal factor.

```
data_Mn3O5F
_chemical_formula_sum 'Mn12 O20 F4'
_space_group_name_H-M_alt 'C m m m'
_space_group_IT_number 65
_space_group_name_Hall '-C 2 2'
_cell_length_a 6.305
_cell_length_b 19.865
_cell_length_c 3.000
_cell_angle_alpha 90.00
_cell_angle_beta 90.00
_cell_angle_gamma 90.00
loop_
_atom_site_label
_atom_site_type_symbol
_atom_site_fract_x
_atom_site_fract_y
_atom_site_fract_z
Mn1 Mn 0.000 0.000 0.000
Mn2 Mn 0.000 0.163 0.500
Mn3 Mn 0.000 0.322 0.000
Mn4 Mn 0.000 0.500 0.500
O1 O 0.000 0.063 0.500
O2 O 0.000 0.262 0.500
O3 O 0.195 0.500 0.000
O4 O 0.196 0.164 0.000
F1 F 0.000 0.391 0.500
```

Principal peaks in the range 10 to 80 degrees two-theta, in order of rising 2θ:
hkl	2θ/deg	intensity
0 6 0	26.93	98
2 0 0	28.31	94
1 3 1	35.81	100
2 6 0	39.47	17
1 9 1	53.56	55
3 3 1	55.13	53
0 12 0	55.51	16
4 0 0	58.56	15
0 0 2	61.85	17
3 9 1	69.22	37


4.
Starting from a PBE+U-relaxed structure, the powder diffractogram of Mn6O7F5 was computed for λ = 1.5418 Å (Cu Kα).
Kinematic intensities with the Lorentz-polarization factor, no thermal factor.

```
data_Mn6O7F5
_chemical_formula_sum 'Mn6 O7 F5'
_space_group_name_H-M_alt 'P 1'
_space_group_IT_number 1
_cell_length_a 4.599
_cell_length_b 5.592
_cell_length_c 7.797
_cell_angle_alpha 92.26
_cell_angle_beta 90.01
_cell_angle_gamma 90.99
loop_
_space_group_symop_operation_xyz
'x,y,z'
loop_
_atom_site_label
_atom_site_type_symbol
_atom_site_fract_x
_atom_site_fract_y
_atom_site_fract_z
Mn1 Mn 0.000 0.000 0.000
Mn2 Mn 0.009 0.320 0.363
Mn3 Mn 0.436 0.826 0.333
Mn4 Mn 0.469 0.467 0.025
Mn5 Mn 0.485 0.150 0.682
Mn6 Mn 0.979 0.650 0.670
O1 O 0.163 0.936 0.770
O2 O 0.180 0.277 0.136
O3 O 0.188 0.610 0.443
O4 O 0.281 0.772 0.108
O5 O 0.283 0.120 0.457
O6 O 0.664 0.180 0.915
O7 O 0.794 0.359 0.578
F1 F 0.263 0.450 0.786
F2 F 0.672 0.841 0.559
F3 F 0.705 0.519 0.255
F4 F 0.762 0.673 0.908
F5 F 0.776 0.023 0.251
```

Principal peaks in the range 10 to 80 degrees two-theta, in order of rising 2θ:
hkl	2θ/deg	intensity
1 -1 1	27.15	98
1 1 -1	27.53	100
-1 1 2	34.43	32
0 2 1	34.54	57
1 1 2	34.78	27
1 0 -3	39.87	19
-2 2 1	52.72	31
2 0 -3	53.19	45
0 2 4	58.86	20
0 4 -1	67.71	31


5.
Starting from a PBE+U-relaxed structure, the powder diffractogram of Mn3O5F was computed for λ = 1.5418 Å (Cu Kα).
Kinematic intensities with the Lorentz-polarization factor, no thermal factor.

```
data_Mn3O5F
_chemical_formula_sum 'Mn6 O10 F2'
_space_group_name_H-M_alt 'P -1'
_space_group_IT_number 2
_cell_length_a 4.505
_cell_length_b 5.486
_cell_length_c 7.565
_cell_angle_alpha 85.70
_cell_angle_beta 88.50
_cell_angle_gamma 88.04
loop_
_space_group_symop_operation_xyz
'x,y,z'
'-x,-y,-z'
loop_
_atom_site_label
_atom_site_type_symbol
_atom_site_fract_x
_atom_site_fract_y
_atom_site_fract_z
Mn1 Mn 0.000 0.000 0.000
Mn2 Mn 0.004 0.339 0.669
Mn3 Mn 0.478 0.831 0.651
Mn4 Mn 0.500 0.500 0.000
O1 O 0.203 0.706 0.106
O2 O 0.217 0.384 0.444
O3 O 0.221 0.057 0.774
O4 O 0.279 0.557 0.769
O5 O 0.285 0.888 0.439
F1 F 0.301 0.200 0.128
```

Principal peaks in the range 10 to 80 degrees two-theta, in order of rising 2θ:
hkl	2θ/deg	intensity
1 1 1	27.16	100
-1 1 1	28.34	95
0 2 -1	35.74	44
1 1 -2	35.96	61
1 3 0	53.60	28
2 2 -1	54.09	34
1 -3 0	54.95	25
2 0 -3	55.43	32
0 4 1	68.86	28
3 1 -2	70.12	16


6.
Starting from a PBE+U-relaxed structure, the powder diffractogram of Mn8O13F3 was computed for λ = 1.5418 Å (Cu Kα).
Kinematic intensities with the Lorentz-polarization factor, no thermal factor.

```
data_Mn8O13F3
_chemical_formula_sum 'Mn8 O13 F3'
_space_group_name_H-M_alt 'P 1'
_space_group_IT_number 1
_cell_length_a 4.995
_cell_length_b 5.523
_cell_length_c 9.020
_cell_angle_alpha 89.36
_cell_angle_beta 89.47
_cell_angle_gamma 89.74
loop_
_space_group_symop_operation_xyz
'x,y,z'
loop_
_atom_site_label
_atom_site_type_symbol
_atom_site_fract_x
_atom_site_fract_y
_atom_site_fract_z
Mn1 Mn 0.000 0.000 0.000
Mn2 Mn 0.000 0.449 0.252
Mn3 Mn 0.002 0.506 0.757
Mn4 Mn 0.486 0.687 0.507
Mn5 Mn 0.500 0.182 0.252
Mn6 Mn 0.516 0.689 0.000
Mn7 Mn 0.518 0.194 0.758
Mn8 Mn 0.999 0.987 0.499
O1 O 0.165 0.728 0.616
O2 O 0.179 0.219 0.138
O3 O 0.320 0.432 0.371
O4 O 0.327 0.936 0.380
O5 O 0.338 0.453 0.869
O6 O 0.338 0.952 0.890
O7 O 0.669 0.947 0.614
O8 O 0.678 0.451 0.636
O9 O 0.678 0.943 0.122
O10 O 0.679 0.437 0.135
O11 O 0.822 0.214 0.366
O12 O 0.838 0.232 0.863
O13 O 0.841 0.733 0.890
F1 F 0.172 0.705 0.127
F2 F 0.188 0.229 0.639
F3 F 0.820 0.694 0.377
```

Principal peaks in the range 10 to 80 degrees two-theta, in order of rising 2θ:
hkl	2θ/deg	intensity
0 1 2	25.36	59
0 1 -2	25.64	55
1 1 2	30.98	49
1 -1 2	31.29	100
1 1 -2	31.43	46
2 0 0	35.96	23
1 2 0	37.13	22
1 -2 0	37.28	21
2 0 4	54.58	25
2 0 -4	55.13	23


7.
Starting from a PBE+U-relaxed structure, the powder diffractogram of MnO2F8 was computed for λ = 1.5418 Å (Cu Kα).
Kinematic intensities with the Lorentz-polarization factor, no thermal factor.

```
data_MnO2F8
_chemical_formula_sum 'Mn4 O8 F32'
_space_group_name_H-M_alt 'C 1 2/c 1'
_space_group_IT_number 15
_cell_length_a 14.034
_cell_length_b 6.121
_cell_length_c 10.360
_cell_angle_alpha 90.00
_cell_angle_beta 131.63
_cell_angle_gamma 90.00
loop_
_space_group_symop_operation_xyz
'x,y,z'
'-x,-y,-z'
'-x,y,-z+1/2'
'x,-y,z+1/2'
'x+1/2,y+1/2,z'
'-x+1/2,-y+1/2,-z'
'-x+1/2,y+1/2,-z+1/2'
'x+1/2,-y+1/2,z+1/2'
loop_
_atom_site_label
_atom_site_type_symbol
_atom_site_fract_x
_atom_site_fract_y
_atom_site_fract_z
Mn1 Mn 0.000 0.141 0.250
O1 O 0.185 0.456 0.557
F1 F 0.060 0.155 0.470
F2 F 0.113 0.073 0.808
F3 F 0.118 0.359 0.310
F4 F 0.126 0.360 0.037
```

Principal peaks in the range 10 to 80 degrees two-theta, in order of rising 2θ:
hkl	2θ/deg	intensity
1 1 -1	16.83	100
2 0 0	16.91	47
2 0 -2	17.20	64
1 1 1	23.34	31
1 1 -2	23.50	60
4 0 -2	25.39	24
3 1 0	29.42	39
2 0 -4	37.33	43
4 2 -1	40.70	54
6 2 -3	49.03	21


8.
Starting from a PBE+U-relaxed structure, the powder diffractogram of Mn3O4F2 was computed for λ = 1.5418 Å (Cu Kα).
Kinematic intensities with the Lorentz-polarization factor, no thermal factor.

```
data_Mn3O4F2
_chemical_formula_sum 'Mn6 O8 F4'
_space_group_name_H-M_alt 'P 1 21 1'
_space_group_IT_number 4
_cell_length_a 5.599
_cell_length_b 4.586
_cell_length_c 7.685
_cell_angle_alpha 90.00
_cell_angle_beta 92.75
_cell_angle_gamma 90.00
loop_
_space_group_symop_operation_xyz
'x,y,z'
'-x,y+1/2,-z'
loop_
_atom_site_label
_atom_site_type_symbol
_atom_site_fract_x
_atom_site_fract_y
_atom_site_fract_z
Mn1 Mn 0.068 0.000 0.343
Mn2 Mn 0.268 0.467 0.003
Mn3 Mn 0.412 0.959 0.680
O1 O 0.122 0.162 0.574
O2 O 0.226 0.670 0.781
O3 O 0.288 0.278 0.232
O4 O 0.457 0.166 0.897
F1 F 0.041 0.784 0.100
F2 F 0.389 0.757 0.441
```

Principal peaks in the range 10 to 80 degrees two-theta, in order of rising 2θ:
hkl	2θ/deg	intensity
1 1 -1	27.38	100
2 0 1	34.67	14
1 1 2	34.97	28
0 0 3	35.07	13
3 1 0	53.03	15
2 2 1	53.39	15
1 1 -4	53.60	15
0 2 3	53.68	15
2 2 -2	56.51	17
1 3 2	68.45	10


9.
Starting from a PBE+U-relaxed structure, the powder diffractogram of Mn3O5F was computed for λ = 1.5418 Å (Cu Kα).
Kinematic intensities with the Lorentz-polarization factor, no thermal factor.

```
data_Mn3O5F
_chemical_formula_sum 'Mn6 O10 F2'
_space_group_name_H-M_alt 'P 1 2/m 1'
_space_group_IT_number 10
_cell_length_a 4.544
_cell_length_b 3.019
_cell_length_c 13.650
_cell_angle_alpha 90.00
_cell_angle_beta 92.15
_cell_angle_gamma 90.00
loop_
_space_group_symop_operation_xyz
'x,y,z'
'-x,-y,-z'
'-x,y,-z'
'x,-y,z'
loop_
_atom_site_label
_atom_site_type_symbol
_atom_site_fract_x
_atom_site_fract_y
_atom_site_fract_z
Mn1 Mn 0.000 0.000 0.000
Mn2 Mn 0.020 0.000 0.660
Mn3 Mn 0.479 0.500 0.840
Mn4 Mn 0.500 0.500 0.500
O1 O 0.188 0.500 0.936
O2 O 0.200 0.500 0.601
O3 O 0.299 0.000 0.770
O4 O 0.307 0.000 0.434
O5 O 0.309 0.000 0.102
F1 F 0.202 0.500 0.268
```

Principal peaks in the range 10 to 80 degrees two-theta, in order of rising 2θ:
hkl	2θ/deg	intensity
1 0 -3	27.23	90
1 0 3	28.29	91
1 1 0	35.71	100
0 0 6	39.67	16
1 1 3	41.40	15
2 1 -3	53.82	55
2 1 3	55.03	53
2 0 -6	56.17	15
0 2 0	61.42	17
0 1 9	69.42	36


10.
Starting from a PBE+U-relaxed structure, the powder diffractogram of Mn8O13F3 was computed for λ = 1.5418 Å (Cu Kα).
Kinematic intensities with the Lorentz-polarization factor, no thermal factor.

```
data_Mn8O13F3
_chemical_formula_sum 'Mn8 O13 F3'
_space_group_name_H-M_alt 'P 1'
_space_group_IT_number 1
_cell_length_a 5.530
_cell_length_b 6.704
_cell_length_c 6.741
_cell_angle_alpha 95.76
_cell_angle_beta 91.54
_cell_angle_gamma 91.34
loop_
_space_group_symop_operation_xyz
'x,y,z'
loop_
_atom_site_label
_atom_site_type_symbol
_atom_site_fract_x
_atom_site_fract_y
_atom_site_fract_z
Mn1 Mn 0.000 0.000 0.000
Mn2 Mn 0.004 0.499 0.490
Mn3 Mn 0.188 0.505 0.992
Mn4 Mn 0.207 0.000 0.480
Mn5 Mn 0.498 0.766 0.735
Mn6 Mn 0.507 0.264 0.231
Mn7 Mn 0.704 0.251 0.735
Mn8 Mn 0.721 0.739 0.234
O1 O 0.243 0.785 0.941
O2 O 0.245 0.221 0.030
O3 O 0.250 0.719 0.528
O4 O 0.253 0.282 0.433
O5 O 0.472 0.031 0.679
O6 O 0.472 0.533 0.183
O7 O 0.746 0.201 0.016
O8 O 0.749 0.293 0.450
O9 O 0.749 0.793 0.954
O10 O 0.751 0.704 0.515
O11 O 0.963 0.547 0.213
O12 O 0.968 0.951 0.265
O13 O 0.972 0.445 0.763
F1 F 0.467 0.484 0.778
F2 F 0.490 0.969 0.267
F3 F 0.979 0.033 0.719
```

Principal peaks in the range 10 to 80 degrees two-theta, in order of rising 2θ:
hkl	2θ/deg	intensity
-1 1 1	25.03	64
1 1 1	25.98	53
1 0 -2	30.79	52
1 -2 0	30.96	46
1 2 0	31.66	100
0 2 -2	36.02	22
2 1 -1	37.20	46
0 0 4	54.73	46
0 4 0	55.09	24
2 -3 3	65.61	22


11.
Starting from a PBE+U-relaxed structure, the powder diffractogram of Mn3O4F2 was computed for λ = 1.5418 Å (Cu Kα).
Kinematic intensities with the Lorentz-polarization factor, no thermal factor.

```
data_Mn3O4F2
_chemical_formula_sum 'Mn6 O8 F4'
_space_group_name_H-M_alt 'P 1'
_space_group_IT_number 1
_cell_length_a 5.517
_cell_length_b 5.526
_cell_length_c 7.269
_cell_angle_alpha 73.53
_cell_angle_beta 72.30
_cell_angle_gamma 70.88
loop_
_space_group_symop_operation_xyz
'x,y,z'
loop_
_atom_site_label
_atom_site_type_symbol
_atom_site_fract_x
_atom_site_fract_y
_atom_site_fract_z
Mn1 Mn 0.000 0.000 0.000
Mn2 Mn 0.011 0.019 0.500
Mn3 Mn 0.339 0.346 0.176
Mn4 Mn 0.359 0.295 0.673
Mn5 Mn 0.650 0.644 0.835
Mn6 Mn 0.688 0.697 0.357
O1 O 0.117 0.085 0.715
O2 O 0.311 0.692 0.006
O3 O 0.374 0.998 0.339
O4 O 0.562 0.541 0.644
O5 O 0.656 0.995 0.670
O6 O 0.689 0.303 0.002
O7 O 0.918 0.921 0.289
O8 O 0.988 0.393 0.340
F1 F 0.036 0.601 0.679
F2 F 0.235 0.241 0.988
F3 F 0.453 0.457 0.358
F4 F 0.766 0.752 0.030
```

Principal peaks in the range 10 to 80 degrees two-theta, in order of rising 2θ:
hkl	2θ/deg	intensity
1 1 2	27.21	92
1 -1 0	27.87	100
0 1 -2	34.62	31
1 2 0	34.89	28
1 0 -2	35.11	54
0 2 -1	40.16	18
0 1 4	53.37	27
1 -2 2	53.41	27
2 2 -2	59.61	18
4 1 2	68.63	17